No. 1
Theoretical powder X-ray diffraction pattern
Compound: Li2Hf2AgTe6
Radiation: Cu Kα
Structure: a DFT-relaxed cell (GGA-PBE, Alexandria)
Intensities are scaled so that the largest is 100.

Structure:
a = 6.9888 Å, b = 12.5559 Å, c = 7.4236 Å
α = 90.00°, β = 107.97°, γ = 90.00°
Space group C2/m (No. 12)
Unique sites:
Li  0.0000  0.1630  0.0000
Hf  0.0000  0.3342  0.5000
Ag  0.0000  0.0000  0.5000
Te  0.2397  0.5000  0.7403
Te  0.2469  0.3243  0.2541

Main lines, by angle (2θ from 10° to 90°):
2theta, d_spacing, intensity, index
12.54, 7.062, 60.7, 0 0 1
25.16, 3.540, 25.2, 1 3 0
30.03, 2.976, 100.0, 1 3 1
30.73, 2.909, 47.6, 2 0 -2
42.47, 2.128, 38.6, 1 3 -3
42.73, 2.116, 19.1, 2 0 2
43.23, 2.093, 17.8, 0 6 0
44.51, 2.035, 33.7, 3 3 -1
51.78, 1.766, 11.7, 0 0 4
53.98, 1.699, 18.6, 2 6 -2



No. 2
Theoretical powder X-ray diffraction pattern
Compound: Y3Se3S
Radiation: Cu Kα
Structure: a DFT-relaxed cell (GGA-PBE, Alexandria)
Intensities are scaled so that the largest is 100.

Structure:
a = 8.5398 Å, b = 11.8712 Å, c = 7.4097 Å
α = 90.00°, β = 90.79°, γ = 90.00°
Space group C2/m (No. 12)
Unique sites:
Y  0.0618  0.0000  0.2850
Y  0.1286  0.3489  0.2019
Se  0.0000  0.1625  0.0000
Se  0.0000  0.2310  0.5000
Se  0.1389  0.5000  0.8692
S  0.2352  0.0000  0.5955

Main lines, by angle (2θ from 10° to 90°):
2theta, d_spacing, intensity, index
20.81, 4.269, 29.6, 2 0 0
23.91, 3.722, 23.5, 2 0 -1
24.20, 3.677, 21.6, 2 0 1
27.67, 3.224, 64.8, 1 3 1
32.34, 2.768, 34.9, 3 1 0
34.90, 2.571, 100.0, 1 3 2
35.26, 2.545, 54.2, 2 2 -2
38.82, 2.320, 36.9, 2 4 -1
41.05, 2.199, 27.5, 3 3 1
44.34, 2.043, 28.5, 2 4 -2